No. 1
This entry pairs a crystal structure of LiAgTe2IrSe with its simulated XRD peak list. Radiation: copper Kα. Structure: a structure optimized by DFT (PBE).
No peak broadening, texture or thermal motion is included.

Top 6 peaks for 5° ≤ 2θ ≤ 70°, by angle:
- 13.64°, d = 6.490 Å, rel. 96, (0 2 0)
- 17.19°, d = 5.160 Å, rel. 52, (0 0 2)
- 30.54°, d = 2.927 Å, rel. 81, (1 3 0)
- 34.77°, d = 2.580 Å, rel. 65, (0 0 4)
- 35.25°, d = 2.546 Å, rel. 100, (1 3 2)
- 46.95°, d = 1.935 Å, rel. 49, (1 3 4)

Structural model:
```
data_LiAgTe2IrSe
_chemical_formula_sum 'Li4 Ag4 Te8 Ir4 Se4'
_cell_length_a 3.9748
_cell_length_b 12.9800
_cell_length_c 10.3195
_cell_angle_alpha 90.00
_cell_angle_beta 90.00
_cell_angle_gamma 90.00
_symmetry_space_group_name_H-M 'C m c m'
_symmetry_Int_Tables_number 63
_symmetry_space_group_name_Hall '-C 2c 2'
loop_
_atom_site_label
_atom_site_fract_x
_atom_site_fract_y
_atom_site_fract_z
Li1 0.0000 0.2450 0.2500
Ag1 0.0000 0.0779 0.7500
Te1 0.0000 0.1410 0.5033
Ir1 0.0000 0.5000 0.0000
Se1 0.0000 0.4334 0.7500
```

=====

No. 2
This entry pairs a crystal structure of Li4Tl2AgIr with its simulated XRD peak list. Radiation: copper Kα. Structure: a structure optimized by DFT (PBE).
No peak broadening, texture or thermal motion is included.

Top 6 peaks for 5° ≤ 2θ ≤ 70°, by angle:
- 23.74°, d = 3.747 Å, rel. 100, (1 0 1)
- 39.26°, d = 2.295 Å, rel. 90, (2 0 0)
- 46.30°, d = 1.961 Å, rel. 16, (1 0 3)
- 46.45°, d = 1.955 Å, rel. 34, (2 1 1)
- 56.82°, d = 1.620 Å, rel. 10, (2 2 0)
- 62.32°, d = 1.490 Å, rel. 13, (2 1 3)

Structural model:
```
data_Li4Tl2AgIr
_chemical_formula_sum 'Li4 Tl2 Ag1 Ir1'
_cell_length_a 4.5831
_cell_length_b 4.5831
_cell_length_c 6.5091
_cell_angle_alpha 90.00
_cell_angle_beta 90.00
_cell_angle_gamma 90.00
_symmetry_space_group_name_H-M 'P -4 m 2'
_symmetry_Int_Tables_number 115
_symmetry_space_group_name_Hall 'P -4 -2'
loop_
_atom_site_label
_atom_site_fract_x
_atom_site_fract_y
_atom_site_fract_z
Li1 0.0000 0.0000 0.0000
Li2 0.0000 0.5000 0.2438
Li3 0.5000 0.5000 0.5000
Tl1 0.0000 0.5000 0.7667
Ag1 0.0000 0.0000 0.5000
Ir1 0.5000 0.5000 0.0000
```

=====

No. 3
This entry pairs a crystal structure of Mg2AgIr with its simulated XRD peak list. Radiation: copper Kα. Structure: a structure optimized by DFT (PBE).
No peak broadening, texture or thermal motion is included.

Top 6 peaks for 5° ≤ 2θ ≤ 70°, by angle:
- 27.75°, d = 3.214 Å, rel. 33, (0 0 2)
- 27.96°, d = 3.191 Å, rel. 64, (1 1 0)
- 39.80°, d = 2.265 Å, rel. 100, (1 1 2)
- 39.95°, d = 2.257 Å, rel. 49, (2 0 0)
- 49.34°, d = 1.847 Å, rel. 27, (2 0 2)
- 57.78°, d = 1.596 Å, rel. 17, (2 2 0)

Structural model:
```
data_Mg2AgIr
_chemical_formula_sum 'Mg4 Ag2 Ir2'
_cell_length_a 4.5133
_cell_length_b 4.5133
_cell_length_c 6.4286
_cell_angle_alpha 90.00
_cell_angle_beta 90.00
_cell_angle_gamma 90.00
_symmetry_space_group_name_H-M 'I 4/m m m'
_symmetry_Int_Tables_number 139
_symmetry_space_group_name_Hall '-I 4 2'
loop_
_atom_site_label
_atom_site_fract_x
_atom_site_fract_y
_atom_site_fract_z
Mg1 0.0000 0.5000 0.2500
Ag1 0.0000 0.0000 0.0000
Ir1 0.0000 0.0000 0.5000
```

=====

No. 4
This entry pairs a crystal structure of Pr3Mg3TlAgIr with its simulated XRD peak list. Radiation: copper Kα. Structure: a structure optimized by DFT (PBE).
No peak broadening, texture or thermal motion is included.

Top 6 peaks for 5° ≤ 2θ ≤ 70°, by angle:
- 12.72°, d = 6.957 Å, rel. 37, (1 0 0)
- 22.13°, d = 4.017 Å, rel. 57, (1 1 0)
- 31.23°, d = 2.864 Å, rel. 92, (1 1 1)
- 33.85°, d = 2.648 Å, rel. 100, (2 0 1)
- 38.83°, d = 2.319 Å, rel. 40, (3 0 0)
- 40.81°, d = 2.211 Å, rel. 41, (1 2 1)

Structural model:
```
data_Pr3Mg3TlAgIr
_chemical_formula_sum 'Pr3 Mg3 Tl1 Ag1 Ir1'
_cell_length_a 8.0334
_cell_length_b 8.0334
_cell_length_c 4.0840
_cell_angle_alpha 90.00
_cell_angle_beta 90.00
_cell_angle_gamma 120.00
_symmetry_space_group_name_H-M 'P -6'
_symmetry_Int_Tables_number 174
_symmetry_space_group_name_Hall 'P -6'
loop_
_atom_site_label
_atom_site_fract_x
_atom_site_fract_y
_atom_site_fract_z
Pr1 0.0991 0.7323 0.0000
Mg1 0.4221 0.0866 0.5000
Tl1 0.0000 0.0000 0.5000
Ag1 0.6667 0.3333 0.0000
Ir1 0.3333 0.6667 0.5000
```